Diffraction record for YMn4Pt. The powder XRD pattern is simulated, not measured: it uses the PBE geometry in Alexandria and copper Kα.
Intensities are scaled so that the largest is 100.

Largest 11 diffraction maxima, low angle first, 2θ from 10° to 80°:
2θ 21.8, rel. 23
2θ 25.2, rel. 9
2θ 35.9, rel. 62
2θ 42.4, rel. 100
2θ 44.4, rel. 17
2θ 51.7, rel. 1
2θ 56.7, rel. 6
2θ 58.3, rel. 4
2θ 64.5, rel. 23
2θ 69.0, rel. 30
2θ 76.1, rel. 21

Crystal structure
```
data_YMn4Pt
_chemical_formula_sum 'Y1 Mn4 Pt1'
_cell_length_a 5.003
_cell_length_b 5.003
_cell_length_c 5.003
_cell_angle_alpha 60.00
_cell_angle_beta 60.00
_cell_angle_gamma 60.00
_symmetry_space_group_name_H-M 'P 1'
_symmetry_Int_Tables_number 1
_symmetry_space_group_name_Hall 'P 1'
loop_
_atom_site_label
_atom_site_fract_x
_atom_site_fract_y
_atom_site_fract_z
_atom_site_occupancy
Y1 0.000 0.000 0.000 1
Mn1 0.127 0.624 0.624 1
Mn2 0.624 0.127 0.624 1
Mn3 0.624 0.624 0.127 1
Mn4 0.624 0.624 0.624 1
Pt1 0.250 0.250 0.250 1
```

Diffraction record for SrLa2Eu. The powder XRD pattern is simulated, not measured: it uses the PBE geometry in Alexandria and copper Kα.
Intensities are scaled so that the largest is 100.

Largest 12 diffraction maxima, low angle first, 2θ from 10° to 80°:
2θ 28.2, rel. 100
2θ 31.8, rel. 17
2θ 33.0, rel. 34
2θ 33.4, rel. 6
2θ 46.5, rel. 23
2θ 47.4, rel. 12
2θ 54.5, rel. 13
2θ 56.1, rel. 29
2θ 58.3, rel. 12
2θ 75.1, rel. 10
2θ 76.4, rel. 10
2θ 79.0, rel. 5

Crystal structure
```
data_SrLa2Eu
_chemical_formula_sum 'Sr1 La2 Eu1'
_cell_length_a 3.834
_cell_length_b 3.834
_cell_length_c 11.240
_cell_angle_alpha 90.00
_cell_angle_beta 90.00
_cell_angle_gamma 90.00
_symmetry_space_group_name_H-M 'P 1'
_symmetry_Int_Tables_number 1
_symmetry_space_group_name_Hall 'P 1'
loop_
_atom_site_label
_atom_site_fract_x
_atom_site_fract_y
_atom_site_fract_z
_atom_site_occupancy
Sr1 0.000 0.000 0.000 1
La1 0.500 0.500 0.267 1
La2 0.500 0.500 0.733 1
Eu1 0.000 0.000 0.500 1
```

Diffraction record for Y2Zn3Cd. The powder XRD pattern is simulated, not measured: it uses the PBE geometry in Alexandria and copper Kα.
Intensities are scaled so that the largest is 100.

Largest 12 diffraction maxima, low angle first, 2θ from 10° to 80°:
2θ 25.2, rel. 7
2θ 33.9, rel. 100
2θ 39.2, rel. 72
2θ 47.2, rel. 7
2θ 51.7, rel. 11
2θ 52.8, rel. 18
2θ 52.9, rel. 9
2θ 66.8, rel. 28
2θ 67.7, rel. 8
2θ 67.8, rel. 16
2θ 71.1, rel. 8
2θ 71.3, rel. 4

Crystal structure
```
data_Y2Zn3Cd
_chemical_formula_sum 'Y4 Zn6 Cd2'
_cell_length_a 9.176
_cell_length_b 8.692
_cell_length_c 5.801
_cell_angle_alpha 75.64
_cell_angle_beta 66.59
_cell_angle_gamma 37.77
_symmetry_space_group_name_H-M 'P 1'
_symmetry_Int_Tables_number 1
_symmetry_space_group_name_Hall 'P 1'
loop_
_atom_site_label
_atom_site_fract_x
_atom_site_fract_y
_atom_site_fract_z
_atom_site_occupancy
Y1 0.248 0.752 0.752 1
Y2 0.250 0.250 0.250 1
Y3 0.750 0.750 0.750 1
Y4 0.752 0.248 0.248 1
Zn1 0.162 0.162 0.838 1
Zn2 0.162 0.675 0.325 1
Zn3 0.325 0.838 0.162 1
Zn4 0.675 0.162 0.838 1
Zn5 0.838 0.325 0.675 1
Zn6 0.838 0.838 0.162 1
Cd1 0.334 0.334 0.666 1
Cd2 0.666 0.666 0.334 1
```